For TbCo3Ir, a GGA-PBE-relaxed structure gives the computed powder diffraction line list in this record (a wavelength of 1.5418 Å).
Peak positions follow from Bragg's law for the DFT cell and can differ from measured ones.

The 10 most intense peaks (2θ from 5° to 70°), sorted by position:
2θ = 16.2°, intensity 17.8, hkl 0 2 0
2θ = 24.6°, intensity 14.4, hkl 0 0 2
2θ = 28.8°, intensity 100.0, hkl 1 2 1
2θ = 32.8°, intensity 17.3, hkl 0 4 0
2θ = 41.4°, intensity 35.5, hkl 0 4 2
2θ = 46.0°, intensity 46.5, hkl 1 2 3
2θ = 48.4°, intensity 24.8, hkl 2 0 2
2θ = 53.4°, intensity 24.2, hkl 2 4 0
2θ = 56.1°, intensity 16.0, hkl 1 6 1
2θ = 67.9°, intensity 14.4, hkl 1 6 3

Atomic structure:
```
data_TbCo3Ir
_chemical_formula_sum 'Tb4 Co12 Ir4'
_symmetry_space_group_name_H-M 'I m m a'
_symmetry_Int_Tables_number 74
_symmetry_space_group_name_Hall '-I 2b 2'
_cell_length_a 4.4039
_cell_length_b 10.9316
_cell_length_c 7.2466
_cell_angle_alpha 90.00
_cell_angle_beta 90.00
_cell_angle_gamma 90.00
loop_
_atom_site_label
_atom_site_type_symbol
_atom_site_fract_x
_atom_site_fract_y
_atom_site_fract_z
Tb1 Tb 0.0000 0.0000 0.0000
Co1 Co 0.0000 0.2500 0.1541
Co2 Co 0.2500 0.1484 0.7500
Ir1 Ir 0.0000 0.2500 0.4844
```